# La4TbDy5
Simulated powder X-ray diffraction pattern, CuKα. Input: a crystal structure in Alexandria, relaxed with GGA-PBE.

Peak list (6 most intense, 5° ≤ 2θ ≤ 70°, in order of rising 2θ)
hkl	2theta	I (rel.)
2 2 1	27.96	23
3 0 1	29.18	100
3 1 1	30.35	64
1 0 2	31.96	40
3 3 0	35.23	36
4 3 2	52.82	34

Crystal structure
a = 10.809 Å, b = 10.809 Å, c = 5.799 Å
α = 90.00°, β = 90.00°, γ = 90.00°
Space group P4/nmm (No. 129, origin choice 2)
Asymmetric unit:
1 La 0.045 0.750 0.125
2 Tb 0.250 0.250 0.884
3 Dy 0.091 0.091 0.349
4 Dy 0.250 0.750 0.500